# Li2CaTaBi
Simulated X-ray diffraction stick pattern, Cu Ka. Input: the PBE geometry in Alexandria.
Kinematic intensities with the Lorentz-polarization factor, no thermal factor.

Structure:
```
data_Li2CaTaBi
_cell_length_a 5.1222
_cell_length_b 5.1222
_cell_length_c 6.0421
_cell_angle_alpha 90.00
_cell_angle_beta 90.00
_cell_angle_gamma 90.00
_symmetry_space_group_name_H-M 'P 4/m m m'
_symmetry_Int_Tables_number 123
_symmetry_space_group_name_Hall '-P 4 2'
loop_
_atom_site_label
_atom_site_type_symbol
_atom_site_fract_x
_atom_site_fract_y
_atom_site_fract_z
_atom_site_occupancy
Li1 Li 0.0000 0.5000 0.0000 1
Ca1 Ca 0.0000 0.0000 0.5000 1
Ta1 Ta 0.5000 0.5000 0.5000 1
Bi1 Bi 0.0000 0.0000 0.0000 1
```

Most intense lines, 10 to 80 degrees two-theta, sorted by position:
| two_theta | d_spacing | I (rel.) | (hkl) |
| --- | --- | --- | --- |
| 22.76 | 3.907 | 1000 | 1 0 1 |
| 24.58 | 3.622 | 627 | 1 1 0 |
| 29.57 | 3.021 | 218 | 0 0 2 |
| 35.04 | 2.561 | 280 | 2 0 0 |
| 38.82 | 2.320 | 385 | 1 1 2 |
| 42.19 | 2.142 | 418 | 2 1 1 |
| 46.48 | 1.954 | 255 | 2 0 2 |
| 48.57 | 1.874 | 141 | 1 0 3 |
| 61.30 | 1.512 | 172 | 0 0 4 |
| 65.37 | 1.428 | 168 | 3 1 2 |

***

# NaCuI3O9
Simulated X-ray diffraction stick pattern, Cu Ka. Input: the PBE geometry in Alexandria.
Kinematic intensities with the Lorentz-polarization factor, no thermal factor.

Structure:
```
data_NaCuI3O9
_cell_length_a 7.4750
_cell_length_b 7.9750
_cell_length_c 8.2138
_cell_angle_alpha 70.59
_cell_angle_beta 73.66
_cell_angle_gamma 80.67
_symmetry_space_group_name_H-M 'P -1'
_symmetry_Int_Tables_number 2
_symmetry_space_group_name_Hall '-P 1'
loop_
_atom_site_label
_atom_site_type_symbol
_atom_site_fract_x
_atom_site_fract_y
_atom_site_fract_z
_atom_site_occupancy
Na1 Na 0.1982 0.2822 0.3725 1
Cu1 Cu 0.5000 0.5000 0.0000 1
Cu2 Cu 0.5000 0.5000 0.5000 1
I1 I 0.2038 0.2854 0.9078 1
I2 I 0.2348 0.7674 0.2602 1
I3 I 0.2515 0.8524 0.7152 1
O1 O 0.0208 0.2127 0.6855 1
O2 O 0.0476 0.7174 0.7959 1
O3 O 0.2063 0.0454 0.9914 1
O4 O 0.2527 0.9519 0.4789 1
O5 O 0.2537 0.5589 0.4465 1
O6 O 0.2692 0.6529 0.0868 1
O7 O 0.3389 0.3112 0.0558 1
O8 O 0.4067 0.2920 0.7110 1
O9 O 0.4424 0.6772 0.7012 1
```

Most intense lines, 10 to 80 degrees two-theta, sorted by position:
| two_theta | d_spacing | I (rel.) | (hkl) |
| --- | --- | --- | --- |
| 16.46 | 5.384 | 732 | 1 1 0 |
| 22.79 | 3.902 | 565 | 1 1 2 |
| 23.72 | 3.751 | 803 | 0 2 0 |
| 23.89 | 3.725 | 452 | 1 1 -1 |
| 24.90 | 3.577 | 1000 | 2 0 0 |
| 27.45 | 3.250 | 590 | 1 2 2 |
| 27.68 | 3.222 | 649 | 1 -2 0 |
| 29.32 | 3.047 | 909 | -1 1 2 |
| 29.65 | 3.013 | 460 | 0 1 -2 |
| 44.24 | 2.047 | 451 | 1 1 4 |

***

# MnGaFe14
Simulated X-ray diffraction stick pattern, Cu Ka. Input: the PBE geometry in Alexandria.
Kinematic intensities with the Lorentz-polarization factor, no thermal factor.

Structure:
```
data_MnGaFe14
_cell_length_a 5.6972
_cell_length_b 8.0495
_cell_length_c 8.0637
_cell_angle_alpha 90.00
_cell_angle_beta 90.00
_cell_angle_gamma 90.00
_symmetry_space_group_name_H-M 'C m m m'
_symmetry_Int_Tables_number 65
_symmetry_space_group_name_Hall '-C 2 2'
loop_
_atom_site_label
_atom_site_type_symbol
_atom_site_fract_x
_atom_site_fract_y
_atom_site_fract_z
_atom_site_occupancy
Mn1 Mn 0.0000 0.0000 0.0000 1
Ga1 Ga 0.0000 0.5000 0.0000 1
Fe1 Fe 0.0000 0.0000 0.5000 1
Fe2 Fe 0.0000 0.2517 0.2491 1
Fe3 Fe 0.0000 0.5000 0.5000 1
Fe4 Fe 0.2455 0.0000 0.2535 1
Fe5 Fe 0.2500 0.2500 0.0000 1
Fe6 Fe 0.2500 0.2500 0.5000 1
```

Most intense lines, 10 to 80 degrees two-theta, sorted by position:
| two_theta | d_spacing | I (rel.) | (hkl) |
| --- | --- | --- | --- |
| 45.01 | 2.014 | 1000 | 2 2 2 |
| 65.54 | 1.424 | 147 | 4 0 0 |

***

# K2CdIn
Simulated X-ray diffraction stick pattern, Cu Ka. Input: the PBE geometry in Alexandria.
Kinematic intensities with the Lorentz-polarization factor, no thermal factor.

Structure:
```
data_K2CdIn
_cell_length_a 4.0598
_cell_length_b 4.1194
_cell_length_c 9.9377
_cell_angle_alpha 90.00
_cell_angle_beta 90.00
_cell_angle_gamma 90.00
_symmetry_space_group_name_H-M 'P m m 2'
_symmetry_Int_Tables_number 25
_symmetry_space_group_name_Hall 'P 2 -2'
loop_
_atom_site_label
_atom_site_type_symbol
_atom_site_fract_x
_atom_site_fract_y
_atom_site_fract_z
_atom_site_occupancy
K1 K 0.0000 0.0000 0.0000 1
K2 K 0.5000 0.5000 0.3878 1
Cd1 Cd 0.0000 0.0000 0.6313 1
In1 In 0.5000 0.5000 0.7539 1
```

Most intense lines, 10 to 80 degrees two-theta, sorted by position:
| two_theta | d_spacing | I (rel.) | (hkl) |
| --- | --- | --- | --- |
| 26.92 | 3.313 | 201 | 0 0 3 |
| 28.14 | 3.171 | 601 | 0 1 2 |
| 28.39 | 3.144 | 587 | 1 0 2 |
| 30.93 | 2.892 | 1000 | 1 1 0 |
| 32.24 | 2.776 | 631 | 1 1 1 |
| 34.75 | 2.581 | 470 | 0 1 3 |
| 34.96 | 2.567 | 462 | 1 0 3 |
| 41.45 | 2.178 | 237 | 1 1 3 |
| 57.36 | 1.606 | 207 | 1 2 3 |
| 57.78 | 1.596 | 202 | 2 1 3 |

***

Copy entry 1 word for word.
# Li2CaTaBi
Simulated X-ray diffraction stick pattern, Cu Ka. Input: the PBE geometry in Alexandria.
Kinematic intensities with the Lorentz-polarization factor, no thermal factor.

Structure:
```
data_Li2CaTaBi
_cell_length_a 5.1222
_cell_length_b 5.1222
_cell_length_c 6.0421
_cell_angle_alpha 90.00
_cell_angle_beta 90.00
_cell_angle_gamma 90.00
_symmetry_space_group_name_H-M 'P 4/m m m'
_symmetry_Int_Tables_number 123
_symmetry_space_group_name_Hall '-P 4 2'
loop_
_atom_site_label
_atom_site_type_symbol
_atom_site_fract_x
_atom_site_fract_y
_atom_site_fract_z
_atom_site_occupancy
Li1 Li 0.0000 0.5000 0.0000 1
Ca1 Ca 0.0000 0.0000 0.5000 1
Ta1 Ta 0.5000 0.5000 0.5000 1
Bi1 Bi 0.0000 0.0000 0.0000 1
```

Most intense lines, 10 to 80 degrees two-theta, sorted by position:
| two_theta | d_spacing | I (rel.) | (hkl) |
| --- | --- | --- | --- |
| 22.76 | 3.907 | 1000 | 1 0 1 |
| 24.58 | 3.622 | 627 | 1 1 0 |
| 29.57 | 3.021 | 218 | 0 0 2 |
| 35.04 | 2.561 | 280 | 2 0 0 |
| 38.82 | 2.320 | 385 | 1 1 2 |
| 42.19 | 2.142 | 418 | 2 1 1 |
| 46.48 | 1.954 | 255 | 2 0 2 |
| 48.57 | 1.874 | 141 | 1 0 3 |
| 61.30 | 1.512 | 172 | 0 0 4 |
| 65.37 | 1.428 | 168 | 3 1 2 |